(1)
Structure and simulated XRD peak list of Pr8Nd3Mg (the PBE geometry in Alexandria; Cu Kα X-rays).
Intensities are scaled so that the largest is 100.

Largest 8 diffraction maxima, low angle first, 2θ from 10° to 90°:
| 2θ/deg | I (rel.) | (hkl) |
| --- | --- | --- |
| 25.54 | 11 | 1 1 0 |
| 28.73 | 21 | 3 1 -1 |
| 29.75 | 40 | 0 0 4 |
| 30.63 | 100 | 6 0 -3 |
| 34.17 | 22 | 3 1 2 |
| 48.41 | 11 | 9 1 -2 |
| 53.34 | 13 | 6 0 -7 |
| 61.15 | 19 | 6 2 -3 |

Cell and atoms:
Cell: 20.046 3.546 12.470 Å, 90.00 105.55 90.00°
Space group Cm (No. 8)
One atom of each set of equivalent atoms:
Pr (0.000, 0.000, 0.000) [2 per cell]
Pr (0.010, 0.500, 0.742) [2 per cell]
Pr (0.063, 0.500, 0.499) [2 per cell]
Pr (0.185, 0.000, 0.740) [2 per cell]
Pr (0.239, 0.500, 0.505) [2 per cell]
Pr (0.284, 0.500, 0.253) [2 per cell]
Pr (0.329, 0.000, 0.017) [2 per cell]
Pr (0.454, 0.500, 0.254) [2 per cell]
Nd (0.107, 0.500, 0.244) [2 per cell]
Nd (0.161, 0.500, 0.990) [2 per cell]
Nd (0.352, 0.500, 0.770) [2 per cell]
Mg (0.410, 0.500, 0.510) [2 per cell]

***

(2)
Structure and simulated XRD peak list of SrY2 (the PBE geometry in Alexandria; Cu Kα X-rays).
Intensities are scaled so that the largest is 100.

Largest 8 diffraction maxima, low angle first, 2θ from 10° to 90°:
| 2θ/deg | I (rel.) | (hkl) |
| --- | --- | --- |
| 27.53 | 23 | 1 3 0 |
| 29.08 | 40 | 0 0 2 |
| 30.94 | 51 | 0 6 1 |
| 31.21 | 100 | 1 3 1 |
| 40.47 | 16 | 1 3 2 |
| 48.31 | 19 | 1 9 0 |
| 52.90 | 22 | 1 3 3 |
| 57.38 | 22 | 1 9 2 |

Cell and atoms:
Cell: 3.728 19.651 6.142 Å, 90.00 90.00 90.00°
Space group Cmcm (No. 63)
One atom of each set of equivalent atoms:
Sr (0.000, 0.112, 0.250) [4 per cell]
Y (0.000, 0.219, 0.750) [4 per cell]
Y (0.000, 0.441, 0.250) [4 per cell]